Computed X-ray diffraction stick pattern of K2Ca2C2O3F2 for copper Kα, from the PBE geometry in Alexandria.
No peak broadening, texture or thermal motion is included.

Principal peaks in the range 2θ from 5° to 70°, most intense first:
| Position (°2θ) | I_rel |
| --- | --- |
| 28.6 | 100.0 |
| 37.4 | 82.6 |
| 39.1 | 53.2 |
| 29.0 | 47.6 |
| 21.0 | 45.0 |
| 55.2 | 43.8 |

Crystal structure
Cell: 6.743 6.743 8.263 Å, 90.00 90.00 93.75°
Element x y z (fractional)
K 0.108 0.373 0.000
K 0.373 0.108 0.500
K 0.627 0.892 0.000
K 0.892 0.627 0.500
Ca 0.133 0.867 0.838
Ca 0.396 0.604 0.325
Ca 0.604 0.396 0.825
Ca 0.867 0.133 0.338
C 0.131 0.869 0.198
C 0.347 0.653 0.686
C 0.653 0.347 0.186
C 0.869 0.131 0.698
O 0.017 0.983 0.113
O 0.241 0.759 0.108
O 0.460 0.540 0.599
O 0.540 0.460 0.099
O 0.759 0.241 0.608
O 0.983 0.017 0.613
F 0.138 0.367 0.342
F 0.367 0.138 0.842
F 0.633 0.862 0.342
F 0.862 0.633 0.842